No. 1
Structure and theoretical powder X-ray diffraction pattern of CeTm2Sc6 (a crystal structure in Alexandria, relaxed with GGA-PBE; copper Kα).

Peak list (10 most intense, 10° ≤ 2θ ≤ 80°, by intensity)
Position (°2θ)	I (rel.)
33.88	100
19.40	34
60.68	28
48.68	20
67.73	11
39.38	6
52.94	5
71.41	5
60.50	4
44.19	3

Structure:
```
CeTm2Sc6
1.0
9.151 0.000 0.000
-4.576 7.925 0.000
0.000 0.000 3.248
Ce Tm Sc
1 2 6
direct
0.000 0.000 0.000
0.333 0.667 0.000
0.667 0.333 0.000
0.000 0.334 0.500
0.000 0.666 0.500
0.334 0.000 0.500
0.334 0.334 0.500
0.666 0.000 0.500
0.666 0.666 0.500
```

***

No. 2
Structure and theoretical powder X-ray diffraction pattern of Ho13Ga2 (a crystal structure in Alexandria, relaxed with GGA-PBE; copper Kα).

Peak list (10 most intense, 10° ≤ 2θ ≤ 80°, by intensity)
Position (°2θ)	I (rel.)
30.68	100
30.35	41
34.33	38
28.73	32
32.28	30
36.17	28
32.13	26
34.02	25
33.30	18
34.23	18

Structure:
```
Ho13Ga2
1.0
6.608 0.000 0.000
1.444 8.027 0.000
1.425 3.885 8.356
Ho Ga
13 2
direct
0.000 0.000 0.000
0.037 0.226 0.338
0.183 0.646 0.358
0.238 0.578 0.008
0.279 0.347 0.763
0.438 0.071 0.148
0.479 0.765 0.577
0.521 0.235 0.423
0.562 0.929 0.852
0.721 0.653 0.237
0.762 0.422 0.992
0.817 0.354 0.642
0.963 0.774 0.662
0.183 0.050 0.674
0.817 0.950 0.326
```

***

No. 3
Structure and theoretical powder X-ray diffraction pattern of CrNi14Ru (a crystal structure in Alexandria, relaxed with GGA-PBE; copper Kα).

Peak list (10 most intense, 10° ≤ 2θ ≤ 80°, by intensity)
Position (°2θ)	I (rel.)
47.42	100
44.21	57
47.17	55
43.14	50
53.98	25
42.86	24
75.60	21
53.75	12
76.17	10
72.25	10

Structure:
```
CrNi14Ru
1.0
8.194 0.000 0.000
0.000 2.500 4.367
0.000 -2.500 4.367
Cr Ni Ru
1 14 1
direct
0.000 0.000 0.000
0.000 0.001 0.503
0.000 0.503 0.001
0.249 0.164 0.164
0.252 0.164 0.667
0.252 0.667 0.164
0.253 0.666 0.666
0.500 0.331 0.331
0.500 0.332 0.832
0.500 0.832 0.332
0.500 0.832 0.832
0.747 0.666 0.666
0.748 0.164 0.667
0.748 0.667 0.164
0.751 0.164 0.164
0.000 0.502 0.502
```